Diffraction record for Mg6SbC. The X-ray powder pattern is computed, not measured: it uses a crystal structure in the Materials Project, relaxed with GGA-PBE and Cu Ka.
Lines closer than 0.1° are merged.

Structure:
Cell lengths 4.353, 5.993, 13.088 Å; angles 90.00, 90.00, 90.00 degrees
Space group Amm2 (No. 38)
Symmetry-distinct sites (fractional):
Mg: 0.000 0.000 0.000 [2 per cell]
Mg: 0.000 0.221 0.718 [4 per cell]
Mg: 0.500 0.000 0.144 [2 per cell]
Mg: 0.500 0.244 0.881 [4 per cell]
Sb: 0.000 0.000 0.478 [2 per cell]
C: 0.500 0.000 0.750 [2 per cell]

Main lines, sorted by position (10 to 80 degrees two-theta):
2theta	d [Å]	I_rel
13.5	6.544	43.6
16.3	5.449	46.6
25.3	3.527	45.4
26.2	3.401	63.0
34.3	2.615	71.3
39.0	2.309	100.0


Diffraction record for Mg6SbC. The X-ray powder pattern is computed, not measured: it uses a crystal structure in the Materials Project, relaxed with GGA-PBE and Cu Ka.
Lines closer than 0.1° are merged.

Structure:
Cell lengths 4.888, 6.194, 10.766 Å; angles 90.00, 90.00, 90.00 degrees
Space group Amm2 (No. 38)
Symmetry-distinct sites (fractional):
Mg: 0.000 0.000 0.000 [2 per cell]
Mg: 0.000 0.000 0.490 [2 per cell]
Mg: 0.000 0.234 0.251 [4 per cell]
Mg: 0.500 0.249 0.581 [4 per cell]
Sb: 0.500 0.000 0.832 [2 per cell]
C: 0.500 0.000 0.332 [2 per cell]

Main lines, sorted by position (10 to 80 degrees two-theta):
2theta	d [Å]	I_rel
16.5	5.373	61.3
24.6	3.615	55.2
33.3	2.687	29.6
34.2	2.620	22.3
36.8	2.444	24.4
38.2	2.355	100.0